[1]
For PrZr3F15, DFT lattice parameters and positions (GGA-PBE) gives the computed XRD peak list in this record (Cu Kα).
Peak positions follow from Bragg's law for the DFT cell and can differ from measured ones.

Structure:
a b c (Å): 8.3681 8.3681 8.3371
angles (deg): 101.02 101.02 98.81
Positions (direct):
1 Pr 0.1778 0.8222 0.7500
2 Pr 0.8222 0.1778 0.2500
3 Zr 0.2431 0.7569 0.2500
4 Zr 0.2643 0.3205 0.6703
5 Zr 0.3205 0.2643 0.1703
6 Zr 0.6795 0.7357 0.8297
7 Zr 0.7357 0.6795 0.3297
8 Zr 0.7569 0.2431 0.7500
9 F 0.0050 0.2728 0.7811
10 F 0.0547 0.2496 0.4770
11 F 0.0703 0.1996 0.1504
12 F 0.1619 0.5289 0.6853
13 F 0.1996 0.0703 0.6504
14 F 0.2263 0.4985 0.2113
15 F 0.2366 0.7227 0.0020
16 F 0.2496 0.0547 0.9770
17 F 0.2728 0.0050 0.2811
18 F 0.2773 0.7634 0.4980
19 F 0.3209 0.3481 0.9393
20 F 0.3481 0.3209 0.4393
21 F 0.4697 0.5303 0.7500
22 F 0.4711 0.8381 0.8147
23 F 0.4985 0.2263 0.7113
24 F 0.5015 0.7737 0.2887
25 F 0.5289 0.1619 0.1853
26 F 0.5303 0.4697 0.2500
27 F 0.6519 0.6791 0.5607
28 F 0.6791 0.6519 0.0607
29 F 0.7227 0.2366 0.5020
30 F 0.7272 0.9950 0.7189
31 F 0.7504 0.9453 0.0230
32 F 0.7634 0.2773 0.9980
33 F 0.7737 0.5015 0.7887
34 F 0.8004 0.9297 0.3496
35 F 0.8381 0.4711 0.3147
36 F 0.9297 0.8004 0.8496
37 F 0.9453 0.7504 0.5230
38 F 0.9950 0.7272 0.2189

Largest 6 diffraction maxima, low angle first, 2θ from 15° to 90°:
two_theta  I (rel.)
22.08  100
22.32  63
22.66  27
23.80  15
30.14  21
43.62  34


[2]
For PtF, DFT lattice parameters and positions (GGA-PBE) gives the computed XRD peak list in this record (Cu Kα).
Peak positions follow from Bragg's law for the DFT cell and can differ from measured ones.

Structure:
a b c (Å): 3.3405 8.4356 6.4587
angles (deg): 90.00 90.00 90.00
Positions (direct):
1 Pt 0.2500 0.0612 0.1246
2 Pt 0.2500 0.4388 0.1246
3 Pt 0.2500 0.7500 0.1250
4 Pt 0.7500 0.2500 0.8750
5 Pt 0.7500 0.5612 0.8754
6 Pt 0.7500 0.9388 0.8754
7 F 0.2500 0.2500 0.6748
8 F 0.2500 0.5943 0.6691
9 F 0.2500 0.9057 0.6691
10 F 0.7500 0.0943 0.3309
11 F 0.7500 0.4057 0.3309
12 F 0.7500 0.7500 0.3252

Largest 6 diffraction maxima, low angle first, 2θ from 15° to 90°:
two_theta  I (rel.)
30.12  62
34.80  65
38.79  100
41.99  61
42.63  49
44.39  59


[3]
For PtF6, DFT lattice parameters and positions (GGA-PBE) gives the computed XRD peak list in this record (Cu Kα).
Peak positions follow from Bragg's law for the DFT cell and can differ from measured ones.

Structure:
a b c (Å): 9.6868 8.9320 5.1310
angles (deg): 90.00 90.00 90.00
Positions (direct):
1 Pt 0.1286 0.2500 0.0853
2 Pt 0.3714 0.7500 0.5853
3 Pt 0.6286 0.2500 0.4147
4 Pt 0.8714 0.7500 0.9147
5 F 0.0137 0.2500 0.7857
6 F 0.0164 0.0998 0.2390
7 F 0.0164 0.4002 0.2390
8 F 0.2411 0.1000 0.9324
9 F 0.2411 0.4000 0.9324
10 F 0.2435 0.2500 0.3853
11 F 0.2565 0.7500 0.8853
12 F 0.2589 0.6000 0.4324
13 F 0.2589 0.9000 0.4324
14 F 0.4836 0.5998 0.7390
15 F 0.4836 0.9002 0.7390
16 F 0.4863 0.7500 0.2857
17 F 0.5137 0.2500 0.7143
18 F 0.5164 0.0998 0.2610
19 F 0.5164 0.4002 0.2610
20 F 0.7411 0.1000 0.5676
21 F 0.7411 0.4000 0.5676
22 F 0.7435 0.2500 0.1147
23 F 0.7565 0.7500 0.6147
24 F 0.7589 0.6000 0.0676
25 F 0.7589 0.9000 0.0676
26 F 0.9836 0.5998 0.7610
27 F 0.9836 0.9002 0.7610
28 F 0.9863 0.7500 0.2143

Largest 6 diffraction maxima, low angle first, 2θ from 15° to 90°:
two_theta  I (rel.)
19.58  42
19.91  87
20.86  100
21.98  67
28.04  31
35.39  22


[4]
For RbPt2F11, DFT lattice parameters and positions (GGA-PBE) gives the computed XRD peak list in this record (Cu Kα).
Peak positions follow from Bragg's law for the DFT cell and can differ from measured ones.

Structure:
a b c (Å): 8.9153 8.9153 8.9153
angles (deg): 113.91 113.04 101.73
Positions (direct):
1 Rb 0.2500 0.2500 0.0000
2 Rb 0.7500 0.7500 0.0000
3 Pt 0.1501 0.6434 0.7935
4 Pt 0.3499 0.1434 0.4933
5 Pt 0.6501 0.8566 0.5067
6 Pt 0.8499 0.3566 0.2065
7 F 0.0000 0.5000 0.5000
8 F 0.0652 0.3756 0.1997
9 F 0.1244 0.4215 0.7870
10 F 0.1345 0.9215 0.2971
11 F 0.1759 0.8655 0.8003
12 F 0.2093 0.2765 0.4858
13 F 0.2907 0.7765 0.0672
14 F 0.3241 0.1244 0.6896
15 F 0.3655 0.6626 0.7870
16 F 0.3756 0.1626 0.2971
17 F 0.4348 0.6345 0.3104
18 F 0.5000 0.0000 0.5000
19 F 0.5652 0.3655 0.6896
20 F 0.6244 0.8374 0.7029
21 F 0.6345 0.3374 0.2130
22 F 0.6759 0.8756 0.3104
23 F 0.7093 0.2235 0.9328
24 F 0.7907 0.7235 0.5142
25 F 0.8241 0.1345 0.1997
26 F 0.8655 0.0785 0.7029
27 F 0.8756 0.5785 0.2130
28 F 0.9348 0.6244 0.8003

Largest 6 diffraction maxima, low angle first, 2θ from 15° to 90°:
two_theta  I (rel.)
15.75  70
20.35  73
21.74  92
21.87  100
31.42  48
42.38  35


[5]
For RbPt2F7, DFT lattice parameters and positions (GGA-PBE) gives the computed XRD peak list in this record (Cu Kα).
Peak positions follow from Bragg's law for the DFT cell and can differ from measured ones.

Structure:
a b c (Å): 7.1756 7.1756 4.0966
angles (deg): 90.00 90.00 126.06
Positions (direct):
1 Rb 0.0000 0.0000 0.0000
2 Pt 0.3350 0.6650 0.5000
3 Pt 0.6650 0.3350 0.5000
4 F 0.0440 0.3491 0.5000
5 F 0.3197 0.6803 0.0000
6 F 0.3491 0.0440 0.5000
7 F 0.5000 0.5000 0.5000
8 F 0.6509 0.9560 0.5000
9 F 0.6803 0.3197 0.0000
10 F 0.9560 0.6509 0.5000

Largest 6 diffraction maxima, low angle first, 2θ from 15° to 90°:
two_theta  I (rel.)
21.69  42
24.97  100
26.64  58
27.41  40
47.00  29
51.45  28


[6]
For RePtF2, DFT lattice parameters and positions (GGA-PBE) gives the computed XRD peak list in this record (Cu Kα).
Peak positions follow from Bragg's law for the DFT cell and can differ from measured ones.

Structure:
a b c (Å): 2.6977 2.6977 24.6711
angles (deg): 90.00 90.00 120.00
Positions (direct):
1 Re 0.0000 0.0000 0.0000
2 Re 0.3333 0.6667 0.6667
3 Re 0.6667 0.3333 0.3333
4 Pt 0.0000 0.0000 0.5000
5 Pt 0.3333 0.6667 0.1667
6 Pt 0.6667 0.3333 0.8333
7 F 0.0000 0.0000 0.4146
8 F 0.0000 0.0000 0.5854
9 F 0.3333 0.6667 0.0813
10 F 0.3333 0.6667 0.2521
11 F 0.6667 0.3333 0.7479
12 F 0.6667 0.3333 0.9187

Largest 6 diffraction maxima, low angle first, 2θ from 15° to 90°:
two_theta  I (rel.)
21.61  100
39.25  92
41.32  65
44.05  24
48.91  41
54.06  37


[7]
For PtRhF, DFT lattice parameters and positions (GGA-PBE) gives the computed XRD peak list in this record (Cu Kα).
Peak positions follow from Bragg's law for the DFT cell and can differ from measured ones.

Structure:
a b c (Å): 2.6973 2.6973 6.7342
angles (deg): 90.00 90.00 120.00
Positions (direct):
1 Pt 0.0000 0.0000 0.0000
2 Rh 0.0000 0.0000 0.6306
3 F 0.0000 0.0000 0.3313

Largest 6 diffraction maxima, low angle first, 2θ from 15° to 90°:
two_theta  I (rel.)
26.47  34
38.54  100
40.17  27
40.89  27
47.36  43
56.89  57


[8]
For SiPtF, DFT lattice parameters and positions (GGA-PBE) gives the computed XRD peak list in this record (Cu Kα).
Peak positions follow from Bragg's law for the DFT cell and can differ from measured ones.

Structure:
a b c (Å): 3.4294 5.0868 6.8048
angles (deg): 77.31 89.30 89.99
Positions (direct):
1 Si 0.2458 0.4697 0.1765
2 Si 0.7542 0.5303 0.8235
3 Pt 0.2517 0.2175 0.9269
4 Pt 0.7483 0.7825 0.0731
5 F 0.2406 0.2790 0.4015
6 F 0.7594 0.7210 0.5985

Largest 6 diffraction maxima, low angle first, 2θ from 15° to 90°:
two_theta  I (rel.)
19.85  28
28.89  58
31.72  100
35.96  32
36.25  52
48.72  28